# 1
The following is a simulated X-ray powder pattern of BaTm2NiO5. It was derived from a crystal structure in the Materials Project, relaxed with GGA+U, using CuKα.
Neutral-atom scattering factors, no anomalous dispersion.

Cell and atoms:
```
9
Lattice="-1.8852 2.8701 5.6409 1.8852 -2.8701 5.6409 1.8852 2.8701 -5.6409" Properties=species:S:1:pos:R:3 pbc="T T T"
Ba 0.0000 0.0000 0.0000
Tm 1.8852 0.0000 3.3450
Tm 0.0000 2.8701 2.2959
Ni 0.0000 0.0000 5.6409
O 1.8852 1.4956 -1.7132
O 1.8852 1.4956 1.7132
O 0.0000 2.8701 0.0000
O 0.0000 1.3746 3.9277
O 0.0000 1.3746 7.3540
```

The 8 most intense peaks (10 to 80 degrees two-theta), most intense first:
- 2θ = 32.55°, 2.751 Å, intensity 100
- 2θ = 28.36°, 3.147 Å, intensity 40
- 2θ = 31.16°, 2.870 Å, intensity 31
- 2θ = 56.33°, 1.633 Å, intensity 22
- 2θ = 57.41°, 1.605 Å, intensity 17
- 2θ = 45.07°, 2.012 Å, intensity 15
- 2θ = 46.93°, 1.936 Å, intensity 15
- 2θ = 48.28°, 1.885 Å, intensity 15


# 2
The following is a simulated X-ray powder pattern of MgBi4W2O12. It was derived from a crystal structure in the Materials Project, relaxed with GGA+U, using CuKα.
Neutral-atom scattering factors, no anomalous dispersion.

Cell and atoms:
```
19
Lattice="8.8174 -2.8891 0.0000 8.8174 2.8891 0.0000 -0.0762 0.0000 5.5999" Properties=species:S:1:pos:R:3 pbc="T T T"
Mg 0.0000 0.0000 0.0000
Bi 3.2024 0.9649 0.1584
Bi 5.6914 0.9219 3.0282
Bi 11.8672 0.9219 2.5717
Bi 14.3561 0.9649 5.4415
W 8.8174 0.0482 0.0000
W 8.7793 -2.8206 2.8000
O 1.7288 -0.0261 2.0398
O 8.2508 1.5481 1.3282
O 9.3078 1.5481 4.2717
O 4.3317 -0.6957 4.0791
O 4.3518 -0.7251 1.2890
O 6.9379 0.0051 4.9204
O 10.6206 0.0051 0.6795
O 8.2607 -1.4964 1.2937
O 9.2978 -1.4964 4.3062
O 13.2269 -0.6957 1.5208
O 13.2068 -0.7251 4.3109
O 15.8298 -0.0261 3.5601
```

The 8 most intense peaks (10 to 80 degrees two-theta), most intense first:
- 2θ = 26.74°, 3.334 Å, intensity 100
- 2θ = 26.99°, 3.304 Å, intensity 96
- 2θ = 30.42°, 2.939 Å, intensity 38
- 2θ = 22.68°, 3.920 Å, intensity 34
- 2θ = 31.96°, 2.800 Å, intensity 31
- 2θ = 45.06°, 2.012 Å, intensity 30
- 2θ = 52.17°, 1.753 Å, intensity 29
- 2θ = 32.62°, 2.745 Å, intensity 27


# 3
The following is a simulated X-ray powder pattern of NaSrPrWO6. It was derived from a crystal structure in the Materials Project, relaxed with GGA+U, using CuKα.
Neutral-atom scattering factors, no anomalous dispersion.

Cell and atoms:
```
10
Lattice="0.0000 4.0796 4.0796 4.0796 0.0000 4.0796 4.0796 4.0796 0.0000" Properties=species:S:1:pos:R:3 pbc="T T T"
Na 0.0000 0.0000 0.0000
Sr 2.0398 2.0398 2.0398
Pr 6.1193 6.1193 6.1193
W 4.0796 4.0796 4.0796
O 4.0796 4.0796 2.1467
O 4.0796 2.1467 4.0796
O 6.0124 4.0796 4.0796
O 2.1467 4.0796 4.0796
O 4.0796 6.0124 4.0796
O 4.0796 4.0796 6.0124
```

The 8 most intense peaks (10 to 80 degrees two-theta), most intense first:
- 2θ = 31.00°, 2.885 Å, intensity 100
- 2θ = 18.84°, 4.711 Å, intensity 42
- 2θ = 55.15°, 1.665 Å, intensity 40
- 2θ = 44.41°, 2.040 Å, intensity 32
- 2θ = 36.53°, 2.460 Å, intensity 21
- 2θ = 64.62°, 1.442 Å, intensity 19
- 2θ = 73.39°, 1.290 Å, intensity 18
- 2θ = 48.64°, 1.872 Å, intensity 9


# 4
The following is a simulated X-ray powder pattern of Li4V2C4SO16. It was derived from a crystal structure in the Materials Project, relaxed with GGA+U, using CuKα.
Neutral-atom scattering factors, no anomalous dispersion.

Cell and atoms:
```
54
Lattice="0.0000 6.8057 6.8388 6.6098 0.0000 6.8388 6.6098 6.8057 0.0000" Properties=species:S:1:pos:R:3 pbc="T T T"
Li 5.8242 3.4028 3.4194
Li 6.6098 2.8954 6.8388
Li 10.4014 6.8057 6.8388
Li 6.6098 6.8057 2.9217
Li 0.7856 3.4028 3.4194
Li 6.6098 6.8057 10.7559
Li 2.8182 6.8057 6.8388
Li 6.6098 10.7159 6.8388
V 8.2733 5.1039 5.1486
V 8.2733 8.5074 8.5290
V 4.9463 5.1039 8.5290
V 4.9463 8.5074 5.1486
C 7.8648 5.5575 8.0627
C 7.8648 8.0538 5.6149
C 5.3548 5.5575 5.6149
C 11.2277 8.9373 9.0235
C 5.3548 8.0538 8.0627
C 11.2277 11.4797 11.4929
C 8.6017 8.9373 11.4929
C 8.6017 11.4797 9.0235
S 0.0000 0.0000 0.0000
S 3.3049 3.4028 3.4194
O 0.8656 0.8643 0.8658
O 5.7442 5.9414 0.8658
O 5.7442 0.8643 5.9730
O 4.2159 4.2432 2.5722
O 4.2159 2.5625 4.2666
O 2.3939 2.5625 2.5722
O 7.9271 4.6915 7.0921
O 6.2880 5.4185 4.7133
O 8.6914 7.0824 5.5530
O 8.6914 6.5289 8.1246
O 6.9316 8.1929 4.7133
O 5.2925 4.6915 6.5855
O 2.3939 4.2432 4.2666
O 12.0749 9.9000 8.8248
O 11.4050 8.1165 10.0125
O 10.2394 8.7564 8.2191
O 6.9316 5.4185 8.9643
O 7.9271 8.9199 6.5855
O 4.5282 6.5289 5.5530
O 12.0749 10.5170 11.6916
O 8.4244 8.1165 10.5039
O 9.5900 11.6606 8.2191
O 4.5282 7.0824 8.1246
O 5.2925 8.9199 7.0921
O 6.2880 8.1929 8.9643
O 0.8656 5.9414 5.9730
O 11.4050 12.3005 10.5039
O 9.5900 8.7564 12.2973
O 7.7545 10.5170 8.8248
O 10.2394 11.6606 12.2973
O 7.7545 9.9000 11.6916
O 8.4244 12.3005 10.0125
```

The 8 most intense peaks (10 to 80 degrees two-theta), most intense first:
- 2θ = 21.67°, 4.101 Å, intensity 100
- 2θ = 11.35°, 7.793 Å, intensity 74
- 2θ = 22.18°, 4.008 Å, intensity 47
- 2θ = 18.39°, 4.824 Å, intensity 24
- 2θ = 18.69°, 4.747 Å, intensity 23
- 2θ = 34.26°, 2.617 Å, intensity 23
- 2θ = 34.11°, 2.628 Å, intensity 22
- 2θ = 26.98°, 3.305 Å, intensity 19


# 5
The following is a simulated X-ray powder pattern of Li9Mn2Co5O16. It was derived from a crystal structure in the Materials Project, relaxed with GGA+U, using CuKα.
Neutral-atom scattering factors, no anomalous dispersion.

Cell and atoms:
```
32
Lattice="8.4426 0.0000 0.0000 0.0000 2.9053 0.0000 -0.0432 0.0000 11.8549" Properties=species:S:1:pos:R:3 pbc="T T T"
Li 0.0000 0.0000 0.0000
Li -0.0072 0.0000 5.8613
Li 2.0026 1.4527 1.4601
Li 2.0547 1.4527 7.3804
Li 4.1254 0.0000 8.9357
Li 4.1709 0.0000 2.8259
Li 6.2533 1.4527 10.3939
Li 6.3993 1.4527 4.2806
Li 8.3939 0.0000 2.8816
Mn 4.1220 0.0000 5.8335
Mn 6.2797 1.4527 7.3902
Co 0.0254 0.0000 8.8475
Co 1.8267 1.4527 4.3053
Co 2.0764 1.4527 10.3520
Co 4.2063 0.0000 0.0193
Co 6.4901 1.4527 1.4638
O -0.0174 1.4527 7.4651
O -0.0153 1.4527 10.1993
O 0.0468 1.4527 4.4690
O 2.0526 0.0000 8.9415
O 2.0798 0.0000 3.0409
O 2.0798 0.0000 11.6875
O 2.2294 0.0000 5.7367
O 4.0946 1.4527 7.1555
O 4.1247 1.4527 10.4138
O 4.1788 1.4527 1.3566
O 4.2245 1.4527 4.5689
O 6.1300 0.0000 6.0360
O 6.2222 0.0000 0.0786
O 6.2693 0.0000 2.7645
O 6.2749 0.0000 8.7191
O 8.2876 1.4527 1.4035
```

The 8 most intense peaks (10 to 80 degrees two-theta), most intense first:
- 2θ = 18.26°, 4.859 Å, intensity 100
- 2θ = 43.63°, 2.075 Å, intensity 54
- 2θ = 42.85°, 2.111 Å, intensity 27
- 2θ = 36.05°, 2.491 Å, intensity 25
- 2θ = 62.71°, 1.482 Å, intensity 21
- 2θ = 35.36°, 2.539 Å, intensity 14
- 2θ = 62.89°, 1.478 Å, intensity 13
- 2θ = 57.42°, 1.605 Å, intensity 10


# 6
The following is a simulated X-ray powder pattern of Bi2W2O9. It was derived from a crystal structure in the Materials Project, relaxed with GGA+U, using CuKα.
Neutral-atom scattering factors, no anomalous dispersion.

Cell and atoms:
```
52
Lattice="5.4527 0.0000 0.0000 0.0000 5.4532 0.0000 0.0000 0.0000 24.5587" Properties=species:S:1:pos:R:3 pbc="T T T"
Bi 0.7748 0.1187 0.0000
Bi 0.7862 2.8455 21.9602
Bi 1.9401 0.1189 9.6808
Bi 1.9515 2.8453 12.2794
Bi 3.5011 2.6078 0.0000
Bi 3.5126 5.3343 21.9602
Bi 4.6664 2.6077 9.6808
Bi 4.6779 5.3344 12.2794
W 0.9819 0.0079 19.0323
W 1.0520 2.7349 2.9738
W 1.6743 0.0083 15.2531
W 1.7445 2.7345 6.7530
W 3.7082 2.7187 19.0323
W 3.7783 5.4449 2.9738
W 4.4006 2.7183 15.2531
W 4.4708 5.4452 6.7530
O 0.0062 4.2756 2.7177
O 0.0409 3.8870 7.0260
O 0.3818 3.8618 15.5062
O 0.4687 1.1141 6.5205
O 0.4712 1.3152 10.9992
O 0.4696 4.0432 10.9721
O 1.1839 5.0804 20.8915
O 1.2366 2.3581 1.1153
O 1.3244 0.3002 17.1472
O 1.4019 3.0267 4.8679
O 1.4897 5.0847 13.3946
O 1.5424 2.3539 8.6121
O 2.2567 1.3166 23.2515
O 2.2576 3.8407 18.7998
O 2.2552 4.0418 23.2785
O 2.3445 1.1353 3.2268
O 2.6854 1.1605 19.3054
O 2.7202 1.5490 14.9971
O 2.7325 3.9041 2.7177
O 2.7673 4.2927 7.0260
O 3.1082 4.3179 15.5062
O 3.1975 1.4114 10.9992
O 3.1950 1.6124 6.5205
O 3.1960 4.1365 10.9721
O 3.9103 3.0993 20.8915
O 3.9630 0.3685 1.1153
O 4.0507 2.4264 17.1472
O 4.1283 5.1530 4.8679
O 4.2160 3.0951 13.3946
O 4.2687 0.3727 8.6121
O 4.9830 1.4099 23.2515
O 4.9815 4.1379 23.2785
O 4.9840 4.3390 18.7998
O 5.0708 1.5913 3.2268
O 5.4117 1.5661 19.3054
O 5.4465 1.1776 14.9971
```

The 8 most intense peaks (10 to 80 degrees two-theta), most intense first:
- 2θ = 29.45°, 3.033 Å, intensity 100
- 2θ = 27.31°, 3.265 Å, intensity 57
- 2θ = 25.54°, 3.488 Å, intensity 41
- 2θ = 32.85°, 2.727 Å, intensity 38
- 2θ = 55.34°, 1.660 Å, intensity 34
- 2θ = 29.09°, 3.070 Å, intensity 33
- 2θ = 23.35°, 3.809 Å, intensity 30
- 2θ = 54.06°, 1.696 Å, intensity 28


# 7
The following is a simulated X-ray powder pattern of LiFeBO3. It was derived from a crystal structure in the Materials Project, relaxed with GGA+U, using CuKα.
Neutral-atom scattering factors, no anomalous dispersion.

Cell and atoms:
```
24
Lattice="5.5734 0.0000 0.0000 0.0000 7.7739 0.0000 -3.2585 0.0000 6.4091" Properties=species:S:1:pos:R:3 pbc="T T T"
Li -0.4934 0.4471 2.5939
Li -2.1226 3.4398 5.7984
Li 4.4376 4.3341 0.6107
Li 2.8083 7.3268 3.8152
Fe 1.3516 5.8335 1.5936
Fe -0.2777 5.8274 4.7981
Fe 2.5926 1.9465 1.6110
Fe 0.9634 1.9405 4.8155
B -1.5119 1.0149 5.1829
B 0.1173 2.8721 1.9783
B 2.1976 4.9018 4.4308
B 3.8268 6.7590 1.2262
O -2.0137 4.9506 4.5371
O -0.3845 6.7102 1.3325
O -0.7821 0.0661 4.4808
O 0.8471 3.8208 1.2763
O 0.8335 1.8873 2.6810
O -0.7958 1.9997 5.8855
O 3.1107 5.7742 0.5235
O 1.4815 5.8866 3.7281
O 1.4678 3.9531 5.1328
O 3.0971 7.7078 1.9282
O 2.6994 1.0637 5.0766
O 4.3287 2.8233 1.8720
```

The 8 most intense peaks (10 to 80 degrees two-theta), most intense first:
- 2θ = 27.85°, 3.204 Å, intensity 100
- 2θ = 22.88°, 3.887 Å, intensity 56
- 2θ = 29.17°, 3.061 Å, intensity 56
- 2θ = 17.86°, 4.967 Å, intensity 45
- 2θ = 36.17°, 2.484 Å, intensity 31
- 2θ = 21.22°, 4.186 Å, intensity 20
- 2θ = 50.42°, 1.810 Å, intensity 19
- 2θ = 50.64°, 1.803 Å, intensity 19


# 8
The following is a simulated X-ray powder pattern of Li2MnOF3. It was derived from a crystal structure in the Materials Project, relaxed with GGA+U, using CuKα.
Neutral-atom scattering factors, no anomalous dispersion.

Cell and atoms:
```
14
Lattice="4.9235 -2.9131 0.0000 4.9235 2.9131 0.0000 -0.0694 0.0000 5.2741" Properties=species:S:1:pos:R:3 pbc="T T T"
Li 1.7792 0.0000 2.6038
Li 2.8883 -1.2574 0.1435
Li 7.9984 0.0000 2.6703
Li 6.8893 -1.2574 5.1307
Mn 4.9235 1.6503 0.0000
Mn 4.8888 0.2111 2.6371
O 3.9473 1.5086 1.6215
O 5.8303 1.5086 3.6526
F 1.3722 0.0581 0.7207
F 3.5383 0.2279 4.3952
F 3.6058 -1.1787 1.9758
F 6.2393 0.2279 0.8789
F 6.1718 -1.1787 3.2984
F 8.4054 0.0581 4.5534
```

The 8 most intense peaks (10 to 80 degrees two-theta), most intense first:
- 2θ = 17.69°, 5.014 Å, intensity 100
- 2θ = 39.92°, 2.258 Å, intensity 75
- 2θ = 24.41°, 3.646 Å, intensity 55
- 2θ = 18.02°, 4.923 Å, intensity 55
- 2θ = 38.51°, 2.338 Å, intensity 47
- 2θ = 24.58°, 3.622 Å, intensity 38
- 2θ = 31.28°, 2.860 Å, intensity 33
- 2θ = 61.62°, 1.505 Å, intensity 29